Diffraction record for CaScCu3Se4. The powder diffraction line list is computed, not measured: it uses the PBE geometry in the Materials Project and Cu Kα.

Top 8 peaks for 10° ≤ 2θ ≤ 90°, by angle:
(1 0 0), 2θ = 14.67°, intensity 18.6; (1 1 1), 2θ = 25.55°, intensity 100.0; (2 2 0), 2θ = 42.33°, intensity 97.4; (3 1 1), 2θ = 50.10°, intensity 44.1; (4 0 0), 2θ = 61.41°, intensity 14.9; (3 3 1), 2θ = 67.62°, intensity 16.6; (4 2 2), 2θ = 77.42°, intensity 28.7; (3 3 3), 2θ = 83.11°, intensity 12.1

Crystal structure
Lattice parameters (Å, degrees): 6.039 6.039 6.039 90.00 90.00 90.00
Space group P-43m (No. 215)
Inequivalent atoms, fractional coordinates:
Ca 0.000 0.000 0.000 x1
Sc 0.500 0.500 0.500 x1
Cu 0.000 0.500 0.500 x3
Se 0.263 0.263 0.737 x4